This entry pairs a crystal structure of Ho2Cr2Co15 with its computed XRD peak list. Radiation: Cu Kα. Structure: a crystal structure in the Materials Project, relaxed with PBE.
Kinematic intensities with the Lorentz-polarization factor, no thermal factor.

Atomic structure:
```
Ho2Cr2Co15
1.0
8.2645 0.0000 0.0000
-4.1322 7.1572 0.0000
0.0000 0.0000 8.0893
Ho Cr Co
4 4 30
direct
0.0000 0.0000 0.2500
0.0000 0.0000 0.7500
0.3333 0.6667 0.2500
0.6667 0.3333 0.7500
0.3333 0.6667 0.6243
0.3333 0.6667 0.8757
0.6667 0.3333 0.1243
0.6667 0.3333 0.3757
0.0000 0.5000 0.0000
0.0000 0.5000 0.5000
0.0359 0.3653 0.7500
0.0359 0.6706 0.7500
0.1671 0.3342 0.0165
0.1671 0.3342 0.4835
0.1671 0.8329 0.0165
0.1671 0.8329 0.4835
0.3294 0.3653 0.7500
0.3294 0.9641 0.7500
0.3342 0.1671 0.5165
0.3342 0.1671 0.9835
0.3653 0.0359 0.2500
0.3653 0.3294 0.2500
0.5000 0.0000 0.0000
0.5000 0.0000 0.5000
0.5000 0.5000 0.0000
0.5000 0.5000 0.5000
0.6347 0.6706 0.7500
0.6347 0.9641 0.7500
0.6658 0.8329 0.0165
0.6658 0.8329 0.4835
0.6706 0.0359 0.2500
0.6706 0.6347 0.2500
0.8329 0.1671 0.5165
0.8329 0.1671 0.9835
0.8329 0.6658 0.5165
0.8329 0.6658 0.9835
0.9641 0.3294 0.2500
0.9641 0.6347 0.2500
```

Peak list (12 most intense, 10 to 90 degrees two-theta, by intensity)
d/Å  two_theta  I (rel.)
2.055  44.07  100
2.066  43.82  51
2.890  30.94  42
2.386  37.71  37
2.022  44.82  29
2.154  41.95  24
1.304  72.49  17
1.193  80.52  16
1.445  64.47  16
1.174  82.11  14
1.457  63.89  14
1.840  49.54  14


This entry pairs a crystal structure of MgCrCoS4 with its computed XRD peak list. Radiation: Cu Kα. Structure: a crystal structure in the Materials Project, relaxed with PBE.
Kinematic intensities with the Lorentz-polarization factor, no thermal factor.

Atomic structure:
```
MgCrCoS4
1.0
-3.5457 3.5458 5.0176
3.5457 -3.5458 5.0176
3.5457 3.5458 -5.0176
Mg Cr Co S
2 2 2 8
direct
0.3746 0.1246 0.2500
0.6254 0.8754 0.7500
0.0000 0.5000 0.5000
0.5000 0.5000 0.0000
0.0000 0.0000 0.5000
0.0000 0.5000 0.0000
0.1987 0.7389 0.4598
0.2208 0.2611 0.9598
0.2297 0.2531 0.5234
0.2297 0.7063 0.9766
0.7703 0.2937 0.0234
0.7703 0.7469 0.4766
0.7792 0.7389 0.0402
0.8013 0.2611 0.5402
```

Peak list (12 most intense, 10 to 90 degrees two-theta, by intensity)
d/Å  two_theta  I (rel.)
2.508  35.81  100
5.791  15.30  98
1.773  51.54  91
3.024  29.53  74
1.930  47.07  56
1.121  86.85  18
1.448  64.34  17
1.696  54.09  16
1.306  72.36  14
1.405  66.58  13
3.546  25.11  12
1.254  75.88  11


This entry pairs a crystal structure of Mg2Cr3CoS8 with its computed XRD peak list. Radiation: Cu Kα. Structure: a crystal structure in the Materials Project, relaxed with PBE.
Kinematic intensities with the Lorentz-polarization factor, no thermal factor.

Atomic structure:
```
Mg2Cr3CoS8
1.0
3.5800 2.0669 5.8357
-3.5800 2.0669 5.8357
0.0000 -4.1338 5.8357
Mg Cr Co S
2 3 1 8
direct
0.1250 0.1250 0.1250
0.8750 0.8750 0.8750
0.0000 0.5000 0.5000
0.5000 0.0000 0.5000
0.5000 0.5000 0.0000
0.5000 0.5000 0.5000
0.2630 0.2630 0.2630
0.2713 0.2713 0.7048
0.2713 0.7048 0.2713
0.2952 0.7287 0.7287
0.7048 0.2713 0.2713
0.7287 0.2952 0.7287
0.7287 0.7287 0.2952
0.7370 0.7370 0.7370
```

Peak list (12 most intense, 10 to 90 degrees two-theta, by intensity)
d/Å  two_theta  I (rel.)
2.530  35.48  100
1.789  51.06  93
5.844  15.16  88
3.051  29.27  73
1.948  46.63  53
1.710  53.58  15
1.461  63.68  12
1.265  75.10  12
3.579  24.88  11
1.417  65.90  11
1.131  85.95  10
1.318  71.60  10


This entry pairs a crystal structure of Mg2CrCo3S8 with its computed XRD peak list. Radiation: Cu Kα. Structure: a crystal structure in the Materials Project, relaxed with PBE.
Kinematic intensities with the Lorentz-polarization factor, no thermal factor.

Atomic structure:
```
Mg2CrCo3S8
1.0
6.0447 -3.5112 0.0000
6.0447 3.5112 0.0000
-4.0060 0.0000 5.7153
Mg Cr Co S
2 1 3 8
direct
0.1246 0.1246 0.3754
0.8754 0.8754 0.6246
0.5000 0.5000 0.0000
0.0000 0.5000 0.0000
0.5000 0.0000 0.0000
0.5000 0.5000 0.5000
0.2623 0.7002 0.2377
0.2625 0.2625 0.8005
0.2689 0.2689 0.2309
0.2998 0.7377 0.7623
0.7002 0.2623 0.2377
0.7311 0.7311 0.7691
0.7375 0.7375 0.1995
0.7377 0.2998 0.7623
```

Peak list (12 most intense, 10 to 90 degrees two-theta, by intensity)
d/Å  two_theta  I (rel.)
5.713  15.51  100
2.475  36.30  94
2.988  29.91  53
1.754  52.16  44
1.747  52.38  41
1.907  47.69  29
1.903  47.80  26
2.978  30.01  17
1.238  77.06  10
1.432  65.15  8
3.493  25.50  7
1.677  54.74  6


This entry pairs a crystal structure of MnCr4CoS8 with its computed XRD peak list. Radiation: Cu Kα. Structure: a crystal structure in the Materials Project, relaxed with PBE.
Kinematic intensities with the Lorentz-polarization factor, no thermal factor.

Atomic structure:
```
MnCr4CoS8
1.0
0.0000 5.0014 5.0014
5.0014 0.0000 5.0014
5.0014 5.0014 0.0000
Mn Cr Co S
1 4 1 8
direct
0.0000 0.0000 0.0000
0.3762 0.3762 0.3762
0.3762 0.3762 0.8713
0.3762 0.8713 0.3762
0.8713 0.3762 0.3762
0.7500 0.7500 0.7500
0.1354 0.1354 0.1354
0.1354 0.1354 0.5937
0.1354 0.5937 0.1354
0.1454 0.6182 0.6182
0.5937 0.1354 0.1354
0.6182 0.1454 0.6182
0.6182 0.6182 0.1454
0.6182 0.6182 0.6182
```

Peak list (12 most intense, 10 to 90 degrees two-theta, by intensity)
d/Å  two_theta  I (rel.)
3.016  29.62  100
1.768  51.69  92
2.501  35.91  54
1.925  47.22  47
3.537  25.18  33
1.302  72.60  16
1.250  76.13  13
2.042  44.37  12
1.118  87.16  12
5.775  15.34  12
1.155  83.74  11
1.525  60.71  11


This entry pairs a crystal structure of Mn4CrCo10Si5 with its computed XRD peak list. Radiation: Cu Kα. Structure: a crystal structure in the Materials Project, relaxed with PBE.
Kinematic intensities with the Lorentz-polarization factor, no thermal factor.

Atomic structure:
```
Mn4CrCo10Si5
1.0
1.9943 1.1514 16.2880
-1.9943 1.1514 16.2880
0.0000 -2.3028 16.2880
Mn Cr Co Si
4 1 10 5
direct
0.1000 0.1000 0.1000
0.3000 0.3000 0.3000
0.7000 0.7000 0.7000
0.9000 0.9000 0.9000
0.5000 0.5000 0.5000
0.0500 0.0500 0.0500
0.1500 0.1500 0.1500
0.2500 0.2500 0.2500
0.3500 0.3500 0.3500
0.4500 0.4500 0.4500
0.5500 0.5500 0.5500
0.6500 0.6500 0.6500
0.7500 0.7500 0.7500
0.8500 0.8500 0.8500
0.9500 0.9500 0.9500
0.0000 0.0000 0.0000
0.1999 0.1999 0.1999
0.4000 0.4000 0.4000
0.6000 0.6000 0.6000
0.8001 0.8001 0.8001
```

Peak list (9 most intense, 10 to 90 degrees two-theta, by intensity)
d/Å  two_theta  I (rel.)
1.994  45.48  100
1.152  84.06  29
1.410  66.27  15
2.821  31.72  5
3.257  27.38  5
1.701  53.90  2
1.261  75.35  1
1.628  56.51  1
1.294  73.12  1


This entry pairs a crystal structure of CrCo2N3 with its computed XRD peak list. Radiation: Cu Kα. Structure: a crystal structure in the Materials Project, relaxed with PBE.
Kinematic intensities with the Lorentz-polarization factor, no thermal factor.

Atomic structure:
```
CrCo2N3
1.0
2.9599 -4.4938 0.0000
2.9599 4.4938 0.0000
0.0000 0.0000 9.4951
Cr Co N
4 8 12
direct
0.1904 0.8096 0.8510
0.3096 0.6904 0.3510
0.6904 0.3096 0.6490
0.8096 0.1904 0.1490
0.0063 0.9937 0.6252
0.1972 0.8028 0.1309
0.3028 0.6972 0.6309
0.4937 0.5063 0.1252
0.5063 0.4937 0.8748
0.6972 0.3028 0.3691
0.8028 0.1972 0.8691
0.9937 0.0063 0.3748
0.9998 0.0002 0.1716
0.0002 0.9998 0.8284
0.0043 0.4957 0.2500
0.1574 0.8426 0.4954
0.3426 0.6574 0.9954
0.4957 0.0043 0.7500
0.4998 0.5002 0.3284
0.5002 0.4998 0.6716
0.5043 0.9957 0.2500
0.6574 0.3426 0.0046
0.8426 0.1574 0.5046
0.9957 0.5043 0.7500
```

Peak list (12 most intense, 10 to 90 degrees two-theta, by intensity)
d/Å  two_theta  I (rel.)
2.960  30.19  100
2.042  44.36  60
2.573  34.87  56
1.852  49.20  38
2.374  37.90  31
1.462  63.66  18
1.624  56.69  13
1.480  62.79  13
1.548  59.73  12
2.247  40.13  11
4.385  20.25  11
1.429  65.30  10


This entry pairs a crystal structure of CrCo2N3 with its computed XRD peak list. Radiation: Cu Kα. Structure: a crystal structure in the Materials Project, relaxed with PBE.
Kinematic intensities with the Lorentz-polarization factor, no thermal factor.

Atomic structure:
```
CrCo2N3
1.0
4.4146 -2.5479 0.0000
4.4146 2.5479 0.0000
0.0000 0.0000 5.1573
Cr Co N
2 4 6
direct
0.1628 0.8372 0.5000
0.8372 0.1628 0.0000
0.1689 0.5184 0.0533
0.4816 0.8311 0.0533
0.5184 0.1689 0.5533
0.8311 0.4816 0.5533
0.1645 0.4908 0.4161
0.1708 0.8292 0.8614
0.4908 0.1645 0.9161
0.5092 0.8355 0.4161
0.8292 0.1708 0.3614
0.8355 0.5092 0.9161
```

Peak list (12 most intense, 10 to 90 degrees two-theta, by intensity)
d/Å  two_theta  I (rel.)
2.285  39.44  100
2.548  35.22  47
2.579  34.79  39
1.425  65.50  28
1.471  63.20  26
1.278  74.21  20
1.813  50.34  18
1.237  77.10  13
1.602  57.54  4
3.353  26.58  4
1.274  74.46  4
1.142  84.89  3